Simulated X-ray diffraction stick pattern of Tb3Nd2Pb4 for λ = 1.5418 Å (Cu Kα), from the PBE geometry in Alexandria.

Cell and atoms:
abc: 8.5211 8.4807 8.2323
angles: 90.00 111.58 90.00
Sites, in units of the cell vectors:
Tb 0.0000 0.0000 0.0000
Tb 0.0000 0.5000 0.5000
Tb 0.2556 0.1604 0.7627
Tb 0.2556 0.3396 0.2627
Tb 0.7444 0.6604 0.7373
Tb 0.7444 0.8396 0.2373
Nd 0.3060 0.6795 0.9424
Nd 0.3060 0.8205 0.4424
Nd 0.6940 0.1795 0.5576
Nd 0.6940 0.3205 0.0576
Pb 0.0095 0.6404 0.1399
Pb 0.0095 0.8596 0.6399
Pb 0.4143 0.0398 0.1696
Pb 0.4143 0.4602 0.6696
Pb 0.5857 0.5398 0.3304
Pb 0.5857 0.9602 0.8304
Pb 0.9905 0.1404 0.3601
Pb 0.9905 0.3596 0.8601

The 8 most intense peaks (15° ≤ 2θ ≤ 90°), by intensity:
2theta  I (rel.)  hkl
29.9  100  2 2 -1
31.3  87  1 1 2
34.4  81  1 1 -3
30.9  58  2 2 0
33.8  51  0 3 1
30.4  50  1 2 -2
27.8  44  2 1 -2
33.4  36  3 0 -2